(1)
This entry pairs a crystal structure of Tb7Nd2Th3 with its computed powder diffractogram. Radiation: Cu Kα, 1.54184 Å. Structure: a structure optimized by DFT (GGA-PBE).
Intensities are scaled so that the largest is 100.

Structural model:
Unit cell a=6.395 b=3.517 c=17.537 alpha=90.00 beta=96.66 gamma=90.00
Space group P2/m (No. 10)
Asymmetric unit:
Tb  0.000  0.000  0.000 [1 per cell]
Tb  0.239  0.500  0.167 [2 per cell]
Tb  0.260  0.500  0.505 [2 per cell]
Tb  0.282  0.000  0.837 [2 per cell]
Nd  0.042  0.500  0.671 [2 per cell]
Th  0.463  0.000  0.338 [2 per cell]
Th  0.500  0.500  0.000 [1 per cell]

Largest 8 diffraction maxima, by angle, 15 to 90 degrees two-theta:
d 3.002, rel. 63.9, (1 1 1)
d 2.933, rel. 89.8, (2 0 -3)
d 2.903, rel. 96.4, (0 0 6)
d 2.851, rel. 100.0, (1 1 2)
d 2.659, rel. 71.0, (2 0 3)
d 2.582, rel. 71.7, (1 1 -4)
d 1.823, rel. 37.1, (3 1 -1)
d 1.467, rel. 32.4, (2 2 3)

***

(2)
This entry pairs a crystal structure of PAuS with its computed powder diffractogram. Radiation: Cu Kα, 1.54184 Å. Structure: a structure optimized by DFT (GGA-PBE).
Intensities are scaled so that the largest is 100.

Structural model:
Unit cell a=5.656 b=5.696 c=16.826 alpha=90.00 beta=90.00 gamma=90.00
Space group Pbca (No. 61)
Asymmetric unit:
P  0.100  0.073  0.175 [8 per cell]
Au  0.006  0.679  0.134 [8 per cell]
S  0.098  0.722  0.908 [8 per cell]

Largest 8 diffraction maxima, by angle, 15 to 90 degrees two-theta:
d 4.207, rel. 92.7, (0 0 4)
d 3.622, rel. 100.0, (1 1 2)
d 2.828, rel. 31.6, (2 0 0)
d 2.808, rel. 24.8, (0 2 1)
d 2.347, rel. 32.9, (2 0 4)
d 2.299, rel. 40.2, (1 1 6)
d 1.751, rel. 23.2, (3 1 2)
d 1.714, rel. 16.7, (1 3 3)

***

(3)
This entry pairs a crystal structure of BaO10 with its computed powder diffractogram. Radiation: Cu Kα, 1.54184 Å. Structure: a structure optimized by DFT (GGA-PBE).
Intensities are scaled so that the largest is 100.

Structural model:
Unit cell a=6.280 b=6.280 c=5.554 alpha=90.00 beta=90.00 gamma=90.00
Space group P4/mmm (No. 123)
Asymmetric unit:
Ba  0.000  0.000  0.000 [1 per cell]
O  0.000  0.399  0.191 [8 per cell]
O  0.500  0.500  0.111 [2 per cell]

Largest 8 diffraction maxima, by angle, 15 to 90 degrees two-theta:
d 5.554, rel. 100.0, (0 0 1)
d 4.161, rel. 51.9, (1 0 1)
d 3.469, rel. 38.5, (1 1 1)
d 3.140, rel. 72.3, (2 0 0)
d 2.734, rel. 53.9, (2 0 1)
d 2.506, rel. 20.6, (2 1 1)
d 2.355, rel. 45.0, (1 1 2)
d 1.975, rel. 25.5, (2 1 2)